Diffraction record for NpMn3. The X-ray diffraction stick pattern is simulated, not measured: it uses a structure optimized by DFT (GGA-PBE) and Cu Kα X-rays.
Intensities are scaled so that the largest is 100.

Structural model:
```
data_NpMn3
_chemical_formula_sum 'Np1 Mn3'
_symmetry_space_group_name_H-M 'P m -3 m'
_symmetry_Int_Tables_number 221
_symmetry_space_group_name_Hall '-P 4 2 3'
_cell_length_a 3.7226
_cell_length_b 3.7226
_cell_length_c 3.7226
_cell_angle_alpha 90.00
_cell_angle_beta 90.00
_cell_angle_gamma 90.00
loop_
_atom_site_label
_atom_site_type_symbol
_atom_site_fract_x
_atom_site_fract_y
_atom_site_fract_z
_atom_site_occupancy
Np1 Np 0.0000 0.0000 0.0000 1
Mn1 Mn 0.0000 0.5000 0.5000 1
```

Principal peaks in the range 2θ = 15–90°, low angle first:
2θ (°)  I/Imax  hkl
23.90  61  1 0 0
34.06  51  1 1 0
42.04  100  1 1 1
48.94  48  2 0 0
55.17  28  2 1 0
60.96  21  2 1 1
71.71  30  2 2 0
76.82  14  3 0 0
81.82  10  3 1 0
86.76  36  3 1 1

---

Diffraction record for Mg16Al12Cr. The X-ray diffraction stick pattern is simulated, not measured: it uses a structure optimized by DFT (GGA-PBE) and Cu Kα X-rays.
Intensities are scaled so that the largest is 100.

Structural model:
```
data_Mg16Al12Cr
_chemical_formula_sum 'Mg48 Al36 Cr3'
_symmetry_space_group_name_H-M 'R 3 m'
_symmetry_Int_Tables_number 160
_symmetry_space_group_name_Hall 'R 3 -2"'
_cell_length_a 14.7335
_cell_length_b 14.7335
_cell_length_c 9.1795
_cell_angle_alpha 90.00
_cell_angle_beta 90.00
_cell_angle_gamma 120.00
loop_
_atom_site_label
_atom_site_type_symbol
_atom_site_fract_x
_atom_site_fract_y
_atom_site_fract_z
_atom_site_occupancy
Mg1 Mg 0.0000 0.0000 0.0000 1
Mg2 Mg 0.0391 0.3604 0.3701 1
Mg3 Mg 0.0993 0.1985 0.4989 1
Mg4 Mg 0.0997 0.5498 0.5611 1
Mg5 Mg 0.2005 0.4010 0.1254 1
Al1 Al 0.0006 0.1824 0.1932 1
Al2 Al 0.1250 0.0625 0.7103 1
Al3 Al 0.2083 0.4167 0.6130 1
Cr1 Cr 0.0000 0.0000 0.3073 1
```

Principal peaks in the range 2θ = 15–90°, low angle first:
2θ (°)  I/Imax  hkl
34.23  27  0 4 2
36.16  86  3 0 3
36.40  84  2 3 2
36.57  100  0 5 1
39.91  18  1 0 4
40.44  23  5 0 2
40.57  42  5 1 1
43.97  17  4 1 3
44.32  15  5 2 0
65.38  21  3 5 4
65.60  15  3 6 3
65.79  14  1 8 2